Record 1
CsCe2Ho2O7: calculated X-ray powder pattern (Cu Kα), based on a cell relaxed with GGA-PBE.
Peak positions follow from Bragg's law for the DFT cell and can differ from measured ones.

The 10 most intense peaks (10° ≤ 2θ ≤ 90°), low angle first:
- 2θ 23.58, I = 46.2
- 2θ 28.87, I = 100.0
- 2θ 29.82, I = 48.8
- 2θ 32.96, I = 33.9
- 2θ 36.45, I = 32.5
- 2θ 39.11, I = 64.7
- 2θ 49.95, I = 23.6
- 2θ 54.39, I = 33.6
- 2θ 54.53, I = 39.1
- 2θ 64.69, I = 25.6

Crystal structure
```
CsCe2Ho2O7
1.0
-2.3032 2.3032 9.8591
2.3032 -2.3032 9.8591
2.3032 2.3032 -9.8591
Cs Ce Ho O
1 2 2 7
direct
0.0000 0.0000 0.0000
0.3886 0.3886 0.0000
0.6113 0.6113 0.0000
0.2500 0.7500 0.5000
0.7500 0.2500 0.5000
0.1362 0.6362 0.5000
0.2622 0.2622 0.0000
0.3638 0.8638 0.5000
0.5000 0.5000 0.0000
0.6362 0.1362 0.5000
0.7378 0.7378 0.0000
0.8638 0.3638 0.5000
```

---

Record 2
Cs2CeI7: calculated X-ray powder pattern (Cu Kα), based on a cell relaxed with GGA-PBE.
Peak positions follow from Bragg's law for the DFT cell and can differ from measured ones.

The 10 most intense peaks (10° ≤ 2θ ≤ 90°), low angle first:
- 2θ 13.34, I = 23.8
- 2θ 18.91, I = 25.8
- 2θ 23.22, I = 65.0
- 2θ 26.87, I = 100.0
- 2θ 38.37, I = 72.4
- 2θ 45.33, I = 26.0
- 2θ 47.46, I = 24.6
- 2θ 62.60, I = 28.8
- 2θ 69.38, I = 19.9
- 2θ 88.38, I = 11.5

Crystal structure
```
Cs2CeI7
1.0
0.0000 6.6359 6.6359
6.6359 0.0000 6.6359
6.6359 6.6359 0.0000
Cs Ce I
2 1 7
direct
0.2500 0.2500 0.2500
0.7500 0.7500 0.7500
0.0000 0.0000 0.0000
0.2286 0.2286 0.7714
0.2286 0.7714 0.2286
0.2286 0.7714 0.7714
0.5000 0.5000 0.5000
0.7714 0.2286 0.2286
0.7714 0.2286 0.7714
0.7714 0.7714 0.2286
```

---

Record 3
Cs3CeI6: calculated X-ray powder pattern (Cu Kα), based on a cell relaxed with GGA-PBE.
Peak positions follow from Bragg's law for the DFT cell and can differ from measured ones.

The 10 most intense peaks (10° ≤ 2θ ≤ 90°), low angle first:
- 2θ 19.40, I = 31.8
- 2θ 22.08, I = 23.0
- 2θ 22.51, I = 24.7
- 2θ 22.81, I = 31.5
- 2θ 23.33, I = 33.4
- 2θ 26.82, I = 100.0
- 2θ 31.64, I = 27.8
- 2θ 33.12, I = 32.3
- 2θ 33.71, I = 26.7
- 2θ 38.68, I = 26.4

Crystal structure
```
Cs3CeI6
1.0
7.8825 -4.6556 0.0000
7.8825 4.6556 0.0000
-5.1215 0.0000 8.0285
Cs Ce I
3 1 6
direct
0.0000 0.0000 0.0000
0.2438 0.2438 0.7211
0.7562 0.7562 0.2789
0.5000 0.5000 0.5000
0.1900 0.6652 0.6489
0.2851 0.2851 0.1658
0.3348 0.8100 0.3511
0.6652 0.1900 0.6489
0.7149 0.7149 0.8342
0.8100 0.3348 0.3511
```

---

Record 4
CsCeI4: calculated X-ray powder pattern (Cu Kα), based on a cell relaxed with GGA-PBE.
Peak positions follow from Bragg's law for the DFT cell and can differ from measured ones.

The 10 most intense peaks (10° ≤ 2θ ≤ 90°), low angle first:
- 2θ 10.73, I = 86.6
- 2θ 10.98, I = 76.4
- 2θ 24.02, I = 47.0
- 2θ 26.89, I = 100.0
- 2θ 27.99, I = 63.4
- 2θ 28.74, I = 62.5
- 2θ 30.74, I = 56.7
- 2θ 32.18, I = 34.1
- 2θ 32.50, I = 69.3
- 2θ 32.57, I = 50.9

Crystal structure
```
CsCeI4
1.0
4.9606 -8.0546 0.0000
4.9606 8.0546 0.0000
-1.9350 0.0000 7.4418
Cs Ce I
2 2 8
direct
0.1369 0.8631 0.7500
0.8631 0.1369 0.2500
0.4992 0.5008 0.7500
0.5008 0.4992 0.2500
0.1761 0.3007 0.9145
0.2457 0.5541 0.4657
0.3007 0.1761 0.4145
0.4459 0.7543 0.0343
0.5541 0.2457 0.9657
0.6993 0.8239 0.5855
0.7543 0.4459 0.5343
0.8239 0.6993 0.0855
```

---

Question: What is the formula in the third record?
Answer: Cs3CeI6